Computed X-ray powder pattern
Compound: Co11B4SbO20
Radiation: Cu Kα X-rays
Structure: a structure optimized by DFT (GGA+U)

Crystal structure
```
Co11B4SbO20
1.0
5.446 -3.074 0.000
5.446 3.074 0.000
-4.637 0.000 10.709
Co B Sb O
11 4 1 20
Direct
0.000 0.000 0.000
0.000 0.000 0.500
0.000 0.500 0.500
0.221 0.718 0.217
0.248 0.248 0.001
0.282 0.779 0.783
0.500 0.000 0.500
0.500 0.500 0.000
0.718 0.221 0.217
0.752 0.752 0.999
0.779 0.282 0.783
0.236 0.236 0.259
0.264 0.264 0.744
0.736 0.736 0.256
0.764 0.764 0.741
0.500 0.500 0.500
0.101 0.101 0.204
0.154 0.637 0.028
0.175 0.175 0.802
0.215 0.215 0.613
0.215 0.693 0.592
0.296 0.296 0.393
0.307 0.785 0.408
0.322 0.322 0.199
0.363 0.846 0.972
0.402 0.402 0.813
0.598 0.598 0.187
0.637 0.154 0.028
0.678 0.678 0.801
0.693 0.215 0.592
0.704 0.704 0.607
0.785 0.307 0.408
0.785 0.785 0.387
0.825 0.825 0.198
0.846 0.363 0.972
0.899 0.899 0.796
```

Peak list (10 most intense, 10 to 90 degrees two-theta, sorted by position)
2θ (°)	I_rel
16.56	62
17.75	39
33.47	86
33.62	27
34.87	100
35.94	53
38.28	27
44.52	54
59.28	30
60.22	27

=====

Computed X-ray powder pattern
Compound: Er2MgTl2W4O16
Radiation: Cu Kα X-rays
Structure: a structure optimized by DFT (GGA+U)

Crystal structure
```
Er2MgTl2W4O16
1.0
7.466 0.000 0.000
3.489 6.637 0.000
0.342 3.995 6.897
Er Mg Tl W O
2 1 2 4 16
Direct
0.000 0.000 0.000
0.488 0.483 0.595
0.223 0.132 0.268
0.475 0.958 0.653
0.987 0.564 0.921
0.532 0.434 0.120
0.563 0.928 0.103
0.934 0.036 0.485
0.943 0.530 0.487
0.024 0.289 0.408
0.218 0.424 0.569
0.221 0.847 0.466
0.262 0.043 0.058
0.272 0.631 0.125
0.467 0.177 0.190
0.498 0.510 0.864
0.619 0.664 0.055
0.620 0.105 0.873
0.620 0.694 0.385
0.626 0.290 0.417
0.849 0.180 0.187
0.865 0.784 0.549
0.875 0.358 0.713
0.888 0.762 0.211
0.998 0.940 0.747
```

Peak list (10 most intense, 10 to 90 degrees two-theta, sorted by position)
2θ (°)	I_rel
25.83	51
26.49	55
27.29	38
27.67	100
28.81	90
29.46	91
31.14	62
32.01	57
32.44	45
42.08	30